Entry 1:
For NiF, a cell relaxed with PBE+U gives the simulated powder diffractogram in this record (Cu Kα (weighted mean of Kα1 and Kα2)).
Intensities are scaled so that the largest is 100.

Principal peaks in the range 10° ≤ 2θ ≤ 80°, sorted by position:
17.1°, rel. 59; 17.3°, rel. 34; 31.4°, rel. 28; 36.9°, rel. 100; 39.2°, rel. 26; 47.7°, rel. 35; 48.2°, rel. 21; 49.1°, rel. 21; 53.9°, rel. 20; 55.8°, rel. 26

Atomic structure:
```
NiF
1.0
2.763 0.000 0.000
0.000 10.256 0.000
0.000 0.000 5.172
Ni F
6 6
Direct
0.250 0.131 0.120
0.250 0.369 0.120
0.250 0.750 0.243
0.750 0.250 0.757
0.750 0.631 0.880
0.750 0.869 0.880
0.250 0.250 0.469
0.250 0.551 0.238
0.250 0.949 0.238
0.750 0.051 0.762
0.750 0.449 0.762
0.750 0.750 0.531
```

***

Entry 2:
For NiF, a cell relaxed with PBE+U gives the simulated powder diffractogram in this record (Cu Kα (weighted mean of Kα1 and Kα2)).
Intensities are scaled so that the largest is 100.

Principal peaks in the range 10° ≤ 2θ ≤ 80°, sorted by position:
29.5°, rel. 95; 32.5°, rel. 62; 35.2°, rel. 100; 41.1°, rel. 21; 46.5°, rel. 53; 48.6°, rel. 38; 53.1°, rel. 34; 56.1°, rel. 33; 65.3°, rel. 34; 68.0°, rel. 39

Atomic structure:
```
NiF
1.0
2.551 -3.629 0.000
2.551 3.629 0.000
0.000 0.000 5.514
Ni F
4 4
Direct
0.084 0.916 0.753
0.416 0.584 0.253
0.584 0.416 0.747
0.916 0.084 0.247
0.167 0.833 0.396
0.333 0.667 0.896
0.667 0.333 0.104
0.833 0.167 0.604
```

***

Entry 3:
For Ni6OF11, a cell relaxed with PBE+U gives the simulated powder diffractogram in this record (Cu Kα (weighted mean of Kα1 and Kα2)).
Intensities are scaled so that the largest is 100.

Principal peaks in the range 10° ≤ 2θ ≤ 80°, sorted by position:
26.7°, rel. 88; 26.9°, rel. 87; 34.6°, rel. 100; 52.4°, rel. 29; 52.5°, rel. 30; 52.7°, rel. 27; 52.8°, rel. 28; 59.6°, rel. 17; 66.7°, rel. 20; 67.0°, rel. 20

Atomic structure:
```
Ni6OF11
1.0
4.714 0.000 0.000
0.000 3.103 0.000
-0.124 0.000 14.073
Ni O F
6 1 11
Direct
0.000 0.000 0.000
0.008 0.000 0.335
0.483 0.500 0.495
0.495 0.500 0.833
0.504 0.500 0.167
0.990 0.000 0.666
0.299 0.000 0.433
0.187 0.500 0.600
0.191 0.500 0.933
0.194 0.500 0.265
0.298 0.000 0.767
0.311 0.000 0.100
0.688 0.000 0.564
0.690 0.000 0.900
0.697 0.000 0.235
0.797 0.500 0.732
0.800 0.500 0.398
0.809 0.500 0.067
```